(1)
The following is a simulated PXRD pattern of Sr2Tl4IrPd. It was derived from the PBE geometry in OQMD, using Cu Kα X-rays.
Peak positions follow from Bragg's law for the DFT cell and can differ from measured ones.

Cell and atoms:
abc: 8.494 4.408 11.163
angles: 90.00 90.00 90.00
Space group Amm2 (No. 38)
Unique sites:
1 Sr 0.000 0.000 0.000 x2
2 Sr 0.500 0.000 0.132 x2
3 Tl 0.197 0.000 0.714 x4
4 Tl 0.298 0.000 0.420 x4
5 Ir 0.000 0.000 0.286 x2
6 Pd 0.500 0.000 0.848 x2

Principal peaks in the range 15° ≤ 2θ ≤ 90°, by angle:
d = 2.950 Å, 2θ = 30.30°, I 86.5, (2 1 1); d = 2.843 Å, 2θ = 31.47°, I 42.7, (0 1 3); d = 2.696 Å, 2θ = 33.23°, I 46.8, (1 1 3); d = 2.363 Å, 2θ = 38.09°, I 63.6, (2 1 3); d = 2.331 Å, 2θ = 38.63°, I 100.0, (2 0 4); d = 2.204 Å, 2θ = 40.95°, I 41.7, (0 2 0)

---

(2)
The following is a simulated PXRD pattern of Y2IrPd2. It was derived from the PBE geometry in OQMD, using Cu Kα X-rays.
Peak positions follow from Bragg's law for the DFT cell and can differ from measured ones.

Cell and atoms:
abc: 3.839 3.839 13.393
angles: 90.00 90.00 90.00
Space group I4/mmm (No. 139)
Unique sites:
1 Y 0.000 0.000 0.104 x4
2 Ir 0.000 0.000 0.500 x2
3 Pd 0.000 0.500 0.250 x4

Principal peaks in the range 15° ≤ 2θ ≤ 90°, by angle:
d = 2.911 Å, 2θ = 30.72°, I 48.2, (1 0 3); d = 2.516 Å, 2θ = 35.69°, I 100.0, (1 1 2); d = 2.197 Å, 2θ = 41.09°, I 44.7, (1 0 5); d = 1.919 Å, 2θ = 47.36°, I 37.4, (2 0 0); d = 1.445 Å, 2θ = 64.47°, I 23.4, (2 1 5); d = 1.194 Å, 2θ = 80.40°, I 18.9, (3 1 2)

---

(3)
The following is a simulated PXRD pattern of Zr4IrPd. It was derived from the PBE geometry in OQMD, using Cu Kα X-rays.
Peak positions follow from Bragg's law for the DFT cell and can differ from measured ones.

Cell and atoms:
abc: 4.719 10.667 4.726
angles: 90.00 90.00 90.00
Space group Amm2 (No. 38)
Unique sites:
1 Zr 0.000 0.154 0.000 x4
2 Zr 0.500 0.156 0.502 x4
3 Ir 0.500 0.000 0.004 x2
4 Pd 0.000 0.000 0.497 x2

Principal peaks in the range 15° ≤ 2θ ≤ 90°, by angle:
d = 5.333 Å, 2θ = 16.62°, I 10.2, (0 2 0); d = 2.434 Å, 2θ = 36.93°, I 100.0, (1 3 1); d = 2.361 Å, 2θ = 38.11°, I 47.0, (2 0 0); d = 1.670 Å, 2θ = 55.00°, I 16.0, (2 0 2); d = 1.420 Å, 2θ = 65.75°, I 16.6, (2 6 0); d = 1.377 Å, 2θ = 68.10°, I 32.3, (3 3 1)

---

(4)
The following is a simulated PXRD pattern of Pm4Ir2Pt. It was derived from the PBE geometry in OQMD, using Cu Kα X-rays.
Peak positions follow from Bragg's law for the DFT cell and can differ from measured ones.

Cell and atoms:
abc: 8.879 8.879 8.836
angles: 90.00 90.00 90.00
Space group I-42d (No. 122)
Unique sites:
1 Pm 0.063 0.186 0.317 x16
2 Ir 0.128 0.250 0.625 x8
3 Pt 0.000 0.000 0.000 x4

Principal peaks in the range 15° ≤ 2θ ≤ 90°, by angle:
d = 2.807 Å, 2θ = 31.88°, I 100.0, (3 0 1); d = 2.796 Å, 2θ = 32.02°, I 49.1, (1 0 3); d = 2.371 Å, 2θ = 37.95°, I 54.9, (3 2 1); d = 2.366 Å, 2θ = 38.04°, I 23.4, (2 1 3); d = 1.740 Å, 2θ = 52.61°, I 24.4, (4 3 1); d = 1.440 Å, 2θ = 64.76°, I 26.8, (6 1 1)

---

(5)
The following is a simulated PXRD pattern of Pm2Zn3Ir2. It was derived from the PBE geometry in OQMD, using Cu Kα X-rays.
Peak positions follow from Bragg's law for the DFT cell and can differ from measured ones.

Cell and atoms:
abc: 10.033 4.171 7.163
angles: 90.00 113.10 90.00
Space group C2/m (No. 12)
Unique sites:
1 Pm 0.146 0.000 0.271 x4
2 Zn 0.000 0.500 0.500 x2
3 Zn 0.142 0.500 0.941 x4
4 Ir 0.137 0.000 0.695 x4

Principal peaks in the range 15° ≤ 2θ ≤ 90°, by angle:
d = 3.801 Å, 2θ = 23.41°, I 35.9, (1 1 0); d = 2.476 Å, 2θ = 36.29°, I 48.9, (3 1 0); d = 2.371 Å, 2θ = 37.95°, I 68.3, (3 1 -2); d = 2.310 Å, 2θ = 38.99°, I 100.0, (1 1 2); d = 2.086 Å, 2θ = 43.39°, I 40.6, (0 2 0); d = 1.355 Å, 2θ = 69.36°, I 29.4, (7 1 -2)

---

(6)
The following is a simulated PXRD pattern of Pr5Ir2. It was derived from the PBE geometry in OQMD, using Cu Kα X-rays.
Peak positions follow from Bragg's law for the DFT cell and can differ from measured ones.

Cell and atoms:
abc: 16.767 6.722 7.387
angles: 90.00 96.82 90.00
Space group C2/c (No. 15)
Unique sites:
1 Pr 0.000 0.071 0.250 x4
2 Pr 0.093 0.392 0.920 x8
3 Pr 0.218 0.071 0.316 x8
4 Ir 0.112 0.206 0.577 x8

Principal peaks in the range 15° ≤ 2θ ≤ 90°, by angle:
d = 4.649 Å, 2θ = 19.09°, I 69.7, (1 1 1); d = 2.984 Å, 2θ = 29.95°, I 62.3, (5 1 0); d = 2.918 Å, 2θ = 30.64°, I 79.4, (2 2 -1); d = 2.824 Å, 2θ = 31.69°, I 53.9, (2 2 1); d = 2.667 Å, 2θ = 33.61°, I 100.0, (5 1 1); d = 2.311 Å, 2θ = 38.97°, I 48.0, (1 1 -3)

---

(7)
The following is a simulated PXRD pattern of PrSi2IrPt. It was derived from the PBE geometry in OQMD, using Cu Kα X-rays.
Peak positions follow from Bragg's law for the DFT cell and can differ from measured ones.

Cell and atoms:
abc: 4.215 4.215 10.004
angles: 90.00 90.00 90.00
Space group P4/nmm (No. 129, origin choice 2)
Unique sites:
1 Pr 0.250 0.250 0.245 x2
2 Si 0.250 0.250 0.627 x2
3 Si 0.250 0.750 0.000 x2
4 Ir 0.250 0.750 0.500 x2
5 Pt 0.250 0.250 0.875 x2

Principal peaks in the range 15° ≤ 2θ ≤ 90°, by angle:
d = 3.223 Å, 2θ = 27.67°, I 33.6, (1 0 2); d = 2.857 Å, 2θ = 31.31°, I 81.4, (1 1 1); d = 2.615 Å, 2θ = 34.29°, I 72.8, (1 0 3); d = 2.561 Å, 2θ = 35.05°, I 100.0, (1 1 2); d = 2.108 Å, 2θ = 42.91°, I 74.4, (2 0 0); d = 1.641 Å, 2θ = 56.04°, I 35.8, (2 1 3)

---

(8)
The following is a simulated PXRD pattern of PrSi2Ir. It was derived from the PBE geometry in OQMD, using Cu Kα X-rays.
Peak positions follow from Bragg's law for the DFT cell and can differ from measured ones.

Cell and atoms:
abc: 4.201 6.088 5.946
angles: 90.00 90.00 90.00
Space group Pmn2_1 (No. 31)
Unique sites:
1 Pr 0.000 0.104 0.000 x2
2 Si 0.000 0.280 0.494 x2
3 Si 0.000 0.619 0.224 x2
4 Ir 0.000 0.589 0.804 x2

Principal peaks in the range 15° ≤ 2θ ≤ 90°, by angle:
d = 3.431 Å, 2θ = 25.97°, I 100.0, (1 0 1); d = 2.989 Å, 2θ = 29.89°, I 53.3, (1 1 1); d = 2.710 Å, 2θ = 33.06°, I 61.0, (0 2 1); d = 2.672 Å, 2θ = 33.54°, I 69.3, (0 1 2); d = 2.465 Å, 2θ = 36.45°, I 81.2, (1 2 0); d = 2.254 Å, 2θ = 39.99°, I 56.4, (1 1 2)